# DyTm3Pb2C
Theoretical powder X-ray diffraction pattern, Cu Ka. Input: a cell relaxed with PBE.
Lines closer than 0.1° are merged.

Most intense lines, 10° ≤ 2θ ≤ 90°, sorted by position:
Position (°2θ), intensity
26.3, 22
28.7, 57
33.8, 28
34.8, 100
37.4, 29
37.8, 28
51.3, 17
51.6, 17
54.2, 20
64.8, 20

Atomic structure:
```
DyTm3Pb2C
1.0
-2.3804 2.4075 7.9439
2.3804 -2.4075 7.9439
2.3804 2.4075 -7.9439
Dy Tm Pb C
1 3 2 1
Direct
0.0000 0.0000 0.0000
0.3440 0.8440 0.5000
0.5000 0.5000 0.0000
0.6560 0.1560 0.5000
0.1435 0.6435 0.5000
0.8565 0.3565 0.5000
0.5000 0.0000 0.5000
```